Structure and computed powder X-ray diffraction pattern of Li4Fe3P3O12F (the GGA+U geometry in Alexandria; Cu Kα (weighted mean of Kα1 and Kα2)).
Peak positions follow from Bragg's law for the DFT cell and can differ from measured ones.

Principal peaks in the range 15° ≤ 2θ ≤ 90°, by angle:
2theta	I (rel.)	h k l
21.00	39	2 0 0
25.79	100	2 1 1
29.86	12	2 2 0
36.79	75	2 2 2
38.35	13	3 2 0
39.86	55	3 2 1
48.08	12	4 2 0
49.35	17	4 2 1
62.04	45	4 4 0
74.35	19	6 2 2

```
data_Li4Fe3P3O12F
_cell_length_a 8.463
_cell_length_b 8.463
_cell_length_c 8.463
_cell_angle_alpha 90.00
_cell_angle_beta 90.00
_cell_angle_gamma 90.00
_symmetry_space_group_name_H-M 'P -4 3 n'
_symmetry_Int_Tables_number 218
_symmetry_space_group_name_Hall 'P -4n 2 3'
loop_
_atom_site_label
_atom_site_type_symbol
_atom_site_fract_x
_atom_site_fract_y
_atom_site_fract_z
Li1 Li 0.145 0.145 0.145
Fe1 Fe 0.000 0.250 0.500
P1 P 0.000 0.500 0.250
O1 O 0.100 0.385 0.147
F1 F 0.000 0.000 0.000
```